This entry pairs a crystal structure of TbHo5Pt6 with its simulated powder diffractogram. Radiation: λ = 1.5418 Å (Cu Kα). Structure: a cell relaxed with PBE.
Kinematic intensities with the Lorentz-polarization factor, no thermal factor.

Top 9 peaks for 5 to 70 degrees two-theta, by angle:
2θ (°)	I_rel
25.5	1
36.3	51
36.5	100
52.3	9
52.4	9
53.0	9
65.5	28
65.6	9
65.9	18

Cell and atoms:
Lattice parameters (Å, degrees): 8.5418 8.5418 4.9474 106.72 106.72 47.75
Atoms (fractional coordinates):
Tb 0.0000 0.0000 0.0000
Ho 0.1668 0.1668 0.6668
Ho 0.3334 0.3334 0.3336
Ho 0.5000 0.5000 0.0000
Ho 0.6666 0.6666 0.6664
Ho 0.8332 0.8332 0.3332
Pt 0.0832 0.5809 0.8324
Pt 0.2524 0.7476 0.5000
Pt 0.4191 0.9168 0.1676
Pt 0.5809 0.0832 0.8324
Pt 0.7476 0.2524 0.5000
Pt 0.9168 0.4191 0.1676